Starting from a DFT-relaxed cell (GGA+U, the Materials Project), the powder X-ray diffraction pattern of Na3Mn2P2C2O14 was simulated for Cu Kα X-rays.
Neutral-atom scattering factors, no anomalous dispersion.

Atomic structure:
Unit cell a=5.187 b=6.583 c=8.924 alpha=91.14 beta=91.45 gamma=90.38
Space group P1 (No. 1)
Asymmetric unit:
Na  0.000  0.000  0.000 (multiplicity 1)
Na  0.003  0.517  0.003 (multiplicity 1)
Na  0.487  0.491  0.518 (multiplicity 1)
Mn  0.035  0.773  0.418 (multiplicity 1)
Mn  0.464  0.260  0.111 (multiplicity 1)
P  0.533  0.761  0.189 (multiplicity 1)
P  0.958  0.264  0.338 (multiplicity 1)
C  0.515  0.258  0.836 (multiplicity 1)
C  0.977  0.758  0.686 (multiplicity 1)
O  0.024  0.078  0.431 (multiplicity 1)
O  0.033  0.453  0.434 (multiplicity 1)
O  0.101  0.261  0.185 (multiplicity 1)
O  0.202  0.764  0.622 (multiplicity 1)
O  0.293  0.254  0.907 (multiplicity 1)
O  0.387  0.754  0.337 (multiplicity 1)
O  0.461  0.947  0.093 (multiplicity 1)
O  0.465  0.573  0.087 (multiplicity 1)
O  0.535  0.264  0.699 (multiplicity 1)
O  0.663  0.274  0.297 (multiplicity 1)
O  0.711  0.256  0.935 (multiplicity 1)
O  0.786  0.760  0.587 (multiplicity 1)
O  0.832  0.762  0.224 (multiplicity 1)
O  0.950  0.752  0.825 (multiplicity 1)

The 6 most intense peaks (15 to 90 degrees two-theta), in order of falling intensity:
d/Å, 2θ (°), I (rel.), h k l
3.291, 27.10, 100.0, 0 2 0
3.424, 26.02, 83.0, 1 0 -2
2.592, 34.60, 61.0, 2 0 0
5.348, 16.58, 54.0, 0 1 -1
5.246, 16.90, 53.8, 0 1 1
3.650, 24.39, 42.2, 1 1 1